Starting from DFT lattice parameters and positions (GGA-PBE), the X-ray diffraction stick pattern of K2In2Se3 was calculated for CuKα.

Structure:
a b c (Å): 8.2853 8.2853 7.8021
angles (deg): 112.20 112.20 31.32
Element x y z (fractional)
K 0.1074 0.1074 0.3549
K 0.8926 0.8926 0.6451
In 0.3339 0.3339 0.1942
In 0.6661 0.6661 0.8058
Se 0.2813 0.2813 0.8065
Se 0.5000 0.5000 0.5000
Se 0.7187 0.7187 0.1935

Top 6 peaks for 2θ from 10° to 90°, in order of rising 2θ:
2θ/deg	d [Å]	I/Imax
12.1	7.338	53
13.5	6.581	96
26.6	3.355	100
31.8	2.817	39
36.6	2.454	43
40.3	2.237	46


Starting from DFT lattice parameters and positions (GGA-PBE), the X-ray diffraction stick pattern of K3InSe2 was calculated for CuKα.

Structure:
a b c (Å): 9.5345 9.5345 9.5345
angles (deg): 131.31 71.05 131.65
Element x y z (fractional)
K 0.0132 0.7500 0.2632
K 0.2500 0.2500 0.0000
K 0.4868 0.7500 0.7368
K 0.5132 0.2500 0.2632
K 0.7500 0.7500 0.0000
K 0.9868 0.2500 0.7368
In 0.0000 0.5000 0.5000
In 0.5000 0.0000 0.5000
Se 0.1325 0.2259 0.3584
Se 0.3675 0.7259 0.0934
Se 0.6325 0.2741 0.9066
Se 0.8675 0.7741 0.6416

Top 6 peaks for 2θ from 10° to 90°, in order of rising 2θ:
2θ/deg	d [Å]	I/Imax
19.7	4.509	100
26.1	3.412	39
30.9	2.897	52
32.4	2.761	85
34.4	2.609	28
57.8	1.594	30


Starting from DFT lattice parameters and positions (GGA-PBE), the X-ray diffraction stick pattern of K2In12Se19 was calculated for CuKα.

Structure:
a b c (Å): 10.0966 10.0966 10.0966
angles (deg): 88.96 88.96 88.96
Element x y z (fractional)
K 0.1655 0.1655 0.1655
K 0.8345 0.8345 0.8345
In 0.1197 0.2229 0.7013
In 0.1918 0.5659 0.5165
In 0.2229 0.7013 0.1197
In 0.2987 0.8803 0.7771
In 0.4341 0.4835 0.8082
In 0.4835 0.8082 0.4341
In 0.5165 0.1918 0.5659
In 0.5659 0.5165 0.1918
In 0.7013 0.1197 0.2229
In 0.7771 0.2987 0.8803
In 0.8082 0.4341 0.4835
In 0.8803 0.7771 0.2987
Se 0.0259 0.3405 0.9083
Se 0.0917 0.9741 0.6595
Se 0.0958 0.3378 0.4634
Se 0.2191 0.6252 0.7687
Se 0.2313 0.7809 0.3748
Se 0.3378 0.4634 0.0958
Se 0.3405 0.9083 0.0259
Se 0.3748 0.2313 0.7809
Se 0.4634 0.0958 0.3378
Se 0.5000 0.5000 0.5000
Se 0.5366 0.9042 0.6622
Se 0.6252 0.7687 0.2191
Se 0.6595 0.0917 0.9741
Se 0.6622 0.5366 0.9042
Se 0.7687 0.2191 0.6252
Se 0.7809 0.3748 0.2313
Se 0.9042 0.6622 0.5366
Se 0.9083 0.0259 0.3405
Se 0.9741 0.6595 0.0917

Top 6 peaks for 2θ from 10° to 90°, in order of rising 2θ:
2θ/deg	d [Å]	I/Imax
12.5	7.074	36
21.6	4.108	24
27.8	3.209	100
28.1	3.175	67
33.2	2.701	24
45.7	1.986	29


Starting from DFT lattice parameters and positions (GGA-PBE), the X-ray diffraction stick pattern of KInSiSe4 was calculated for CuKα.

Structure:
a b c (Å): 7.9112 7.9112 7.8551
angles (deg): 90.00 90.00 111.27
Element x y z (fractional)
K 0.0000 0.0000 0.0000
K 0.0000 0.0000 0.5000
In 0.3750 0.6250 0.7500
In 0.6250 0.3750 0.2500
Si 0.3684 0.6316 0.2500
Si 0.6316 0.3684 0.7500
Se 0.2572 0.7428 0.0223
Se 0.2572 0.7428 0.4776
Se 0.2757 0.3201 0.2500
Se 0.3201 0.2757 0.7500
Se 0.6799 0.7243 0.2500
Se 0.7243 0.6799 0.7500
Se 0.7428 0.2572 0.5224
Se 0.7428 0.2572 0.9776

Top 6 peaks for 2θ from 10° to 90°, in order of rising 2θ:
2θ/deg	d [Å]	I/Imax
12.0	7.372	69
19.9	4.465	40
24.1	3.686	64
25.7	3.466	61
26.5	3.366	57
41.2	2.189	100


Starting from DFT lattice parameters and positions (GGA-PBE), the X-ray diffraction stick pattern of K3Sm2InSe6 was calculated for CuKα.

Structure:
a b c (Å): 7.3476 7.3476 8.1062
angles (deg): 98.70 98.70 120.02
Element x y z (fractional)
K 0.0000 0.0000 0.0000
K 0.3319 0.6681 0.0000
K 0.6681 0.3319 0.0000
Sm 0.1664 0.8336 0.5000
Sm 0.8336 0.1664 0.5000
In 0.5000 0.5000 0.5000
Se 0.1081 0.4313 0.2938
Se 0.2460 0.2460 0.7063
Se 0.4313 0.1081 0.2938
Se 0.5687 0.8919 0.7062
Se 0.7540 0.7540 0.2937
Se 0.8919 0.5687 0.7062

Top 6 peaks for 2θ from 10° to 90°, in order of rising 2θ:
2θ/deg	d [Å]	I/Imax
11.5	7.726	50
28.8	3.103	100
36.5	2.459	18
39.6	2.275	34
42.6	2.121	35
52.2	1.751	18


Starting from DFT lattice parameters and positions (GGA-PBE), the X-ray diffraction stick pattern of K3Tb3InSe8 was calculated for CuKα.

Structure:
a b c (Å): 8.2786 8.2786 9.2433
angles (deg): 116.66 116.66 59.91
Element x y z (fractional)
K 0.0000 0.0000 0.0000
K 0.0000 0.5000 0.0000
K 0.5000 0.0000 0.0000
Tb 0.0000 0.5000 0.5000
Tb 0.5000 0.0000 0.5000
Tb 0.5000 0.5000 0.5000
In 0.0000 0.0000 0.5000
Se 0.2313 0.2313 0.7019
Se 0.2313 0.7393 0.7020
Se 0.2607 0.7687 0.2980
Se 0.2646 0.2646 0.2938
Se 0.7354 0.7354 0.7062
Se 0.7393 0.2313 0.7020
Se 0.7687 0.2607 0.2980
Se 0.7687 0.7687 0.2981

Top 6 peaks for 2θ from 10° to 90°, in order of rising 2θ:
2θ/deg	d [Å]	I/Imax
11.2	7.907	75
29.1	3.067	100
36.5	2.462	25
39.4	2.284	35
43.8	2.069	35
53.4	1.715	18


Starting from DFT lattice parameters and positions (GGA-PBE), the X-ray diffraction stick pattern of K2TiInSe4 was calculated for CuKα.

Structure:
a b c (Å): 13.7594 12.3213 7.7367
angles (deg): 83.27 62.79 33.95
Element x y z (fractional)
K 0.0580 0.0580 0.6920
K 0.3080 0.3080 0.9420
K 0.6920 0.6920 0.0580
K 0.9420 0.9420 0.3080
Ti 0.3750 0.3750 0.3750
Ti 0.6250 0.6250 0.6250
In 0.1250 0.1250 0.1250
In 0.8750 0.8750 0.8750
Se 0.0069 0.3554 0.4426
Se 0.3050 0.5574 0.6446
Se 0.3554 0.0069 0.6950
Se 0.4426 0.6950 0.0069
Se 0.5574 0.3050 0.9931
Se 0.6446 0.9931 0.3050
Se 0.6950 0.4426 0.3554
Se 0.9931 0.6446 0.5574

Top 6 peaks for 2θ from 10° to 90°, in order of rising 2θ:
2θ/deg	d [Å]	I/Imax
14.7	6.014	100
14.9	5.930	61
25.9	3.439	80
30.0	2.974	98
35.2	2.553	52
38.0	2.365	49


Starting from DFT lattice parameters and positions (GGA-PBE), the X-ray diffraction stick pattern of KZnInSe3 was calculated for CuKα.

Structure:
a b c (Å): 9.1335 4.0084 9.8595
angles (deg): 90.00 106.29 90.00
Element x y z (fractional)
K 0.2014 0.2500 0.2411
K 0.7986 0.7500 0.7589
Zn 0.0854 0.2500 0.6037
Zn 0.9146 0.7500 0.3963
In 0.3412 0.7500 0.8826
In 0.6588 0.2500 0.1174
Se 0.1281 0.2500 0.8640
Se 0.2010 0.7500 0.5228
Se 0.4692 0.7500 0.1666
Se 0.5308 0.2500 0.8334
Se 0.7990 0.2500 0.4772
Se 0.8719 0.7500 0.1360

Top 6 peaks for 2θ from 10° to 90°, in order of rising 2θ:
2θ/deg	d [Å]	I/Imax
11.7	7.578	100
28.3	3.154	21
29.9	2.989	46
30.2	2.958	32
32.7	2.735	20
44.3	2.046	24


Starting from DFT lattice parameters and positions (GGA-PBE), the X-ray diffraction stick pattern of K3Sm3InTe8 was calculated for CuKα.

Structure:
a b c (Å): 8.9129 8.9129 9.9713
angles (deg): 116.63 116.63 59.89
Element x y z (fractional)
K 0.0000 0.0000 0.0000
K 0.0000 0.5000 0.0000
K 0.5000 0.0000 0.0000
Sm 0.0000 0.5000 0.5000
Sm 0.5000 0.0000 0.5000
Sm 0.5000 0.5000 0.5000
In 0.0000 0.0000 0.5000
Te 0.2320 0.2320 0.7070
Te 0.2321 0.7428 0.7072
Te 0.2572 0.7679 0.2928
Te 0.2622 0.2622 0.2866
Te 0.7378 0.7378 0.7134
Te 0.7428 0.2321 0.7072
Te 0.7679 0.2572 0.2928
Te 0.7680 0.7680 0.2930

Top 6 peaks for 2θ from 10° to 90°, in order of rising 2θ:
2θ/deg	d [Å]	I/Imax
10.4	8.534	53
27.0	3.304	100
33.8	2.654	22
36.5	2.463	36
40.5	2.227	36
45.5	1.993	14


Starting from DFT lattice parameters and positions (GGA-PBE), the X-ray diffraction stick pattern of K2In6Sn3 was calculated for CuKα.

Structure:
a b c (Å): 9.1162 9.1162 5.0455
angles (deg): 90.00 90.00 120.00
Element x y z (fractional)
K 0.3333 0.6667 0.0000
K 0.6667 0.3333 0.0000
In 0.0000 0.2867 0.5000
In 0.0000 0.8071 0.0000
In 0.1929 0.1929 0.0000
In 0.2867 0.0000 0.5000
In 0.7133 0.7133 0.5000
In 0.8071 0.0000 0.0000
Sn 0.0000 0.6283 0.5000
Sn 0.3717 0.3717 0.5000
Sn 0.6283 0.0000 0.5000

Top 6 peaks for 2θ from 10° to 90°, in order of rising 2θ:
2θ/deg	d [Å]	I/Imax
11.2	7.895	40
19.5	4.558	34
26.4	3.382	69
34.9	2.568	100
35.6	2.523	38
38.6	2.333	46


Starting from DFT lattice parameters and positions (GGA-PBE), the X-ray diffraction stick pattern of KIn2Sn was calculated for CuKα.

Structure:
a b c (Å): 4.9170 4.9170 11.0889
angles (deg): 90.00 90.00 90.00
Element x y z (fractional)
K 0.2500 0.2500 0.2475
K 0.7500 0.7500 0.7525
In 0.2500 0.2500 0.9443
In 0.2500 0.7500 0.5000
In 0.7500 0.2500 0.5000
In 0.7500 0.7500 0.0557
Sn 0.2500 0.2500 0.6634
Sn 0.7500 0.7500 0.3366

Top 6 peaks for 2θ from 10° to 90°, in order of rising 2θ:
2θ/deg	d [Å]	I/Imax
19.8	4.495	50
26.9	3.318	65
30.3	2.951	67
35.4	2.533	100
36.5	2.458	83
37.2	2.415	48


Starting from DFT lattice parameters and positions (GGA-PBE), the X-ray diffraction stick pattern of K3In2Sn5 was calculated for CuKα.

Structure:
a b c (Å): 10.6264 10.6264 10.6264
angles (deg): 114.74 81.08 137.44
Element x y z (fractional)
K 0.1337 0.7337 0.8674
K 0.2500 0.2500 0.0000
K 0.3663 0.2337 0.6000
K 0.6337 0.7663 0.4000
K 0.7500 0.7500 0.0000
K 0.8663 0.2663 0.1326
In 0.1462 0.1367 0.2829
In 0.3538 0.6367 0.9904
In 0.6462 0.3633 0.0096
In 0.8538 0.8633 0.7171
Sn 0.0032 0.2500 0.7532
Sn 0.1277 0.3906 0.5183
Sn 0.2500 0.7500 0.5000
Sn 0.3723 0.8906 0.2629
Sn 0.4968 0.2500 0.2468
Sn 0.5032 0.7500 0.7532
Sn 0.6277 0.1094 0.7371
Sn 0.7500 0.2500 0.5000
Sn 0.8723 0.6094 0.4817
Sn 0.9968 0.7500 0.2468

Top 6 peaks for 2θ from 10° to 90°, in order of rising 2θ:
2θ/deg	d [Å]	I/Imax
17.7	5.015	57
27.0	3.301	39
28.3	3.152	55
32.1	2.789	100
38.5	2.337	40
39.2	2.300	41